(1)
Structure and computed X-ray diffraction stick pattern of Zr3Bi2Sb2Ir4 (a GGA-PBE-relaxed structure; λ = 1.5418 Å (Cu Kα)).
Neutral-atom scattering factors, no anomalous dispersion.

Cell and atoms:
```
11
Lattice="-3.1939 3.1939 6.4362 3.1939 -3.1939 6.4362 3.1939 3.1939 -6.4362" Properties=species:S:1:pos:R:3 pbc="T T T"
Zr 0.0000 0.0000 0.0000
Zr 3.1939 0.0000 3.2181
Zr 0.0000 3.1939 3.2181
Bi 3.1939 0.0000 0.0000
Bi 0.0000 3.1939 0.0000
Sb 0.0000 0.0000 3.3152
Sb 0.0000 0.0000 9.5572
Ir 1.5495 1.5495 -1.7032
Ir 1.6444 -1.6444 8.1394
Ir 1.6444 1.6444 4.7331
Ir -1.6444 1.6444 8.1394
```

The 10 most intense peaks (2θ = 5–70°), in order of rising 2θ:
2theta, d (Å), intensity
19.7, 4.517, 71
24.1, 3.697, 919
39.8, 2.267, 1000
39.9, 2.258, 503
46.9, 1.938, 150
47.2, 1.927, 310
57.3, 1.609, 82
57.7, 1.597, 170
63.2, 1.471, 123
63.5, 1.466, 64

=====

(2)
Structure and computed X-ray diffraction stick pattern of Ta4Bi5Ir5 (a GGA-PBE-relaxed structure; λ = 1.5418 Å (Cu Kα)).
Neutral-atom scattering factors, no anomalous dispersion.

Cell and atoms:
```
14
Lattice="-4.9883 4.9883 3.1928 4.9883 -4.9883 3.1928 4.9883 4.9883 -3.1928" Properties=species:S:1:pos:R:3 pbc="T T T"
Ta 6.9528 0.9567 -0.0428
Ta 0.9567 3.0238 0.0428
Ta 4.0316 1.9645 3.2357
Ta -1.9645 4.0316 3.1500
Bi 0.0000 0.0000 0.0000
Bi 4.1492 2.2457 0.0823
Bi 2.7426 -0.8391 3.1105
Bi 2.2457 5.8274 -0.0823
Bi 0.8391 2.7426 3.2752
Ir 4.9883 0.0000 1.5964
Ir -1.0975 2.1789 1.3878
Ir 2.8094 3.8908 1.8050
Ir -2.8094 6.0858 1.8050
Ir 1.0975 7.7977 1.3878
```

The 10 most intense peaks (2θ = 5–70°), in order of rising 2θ:
2theta, d (Å), intensity
24.3, 3.657, 533
27.9, 3.193, 71
28.3, 3.155, 123
35.4, 2.539, 101
40.2, 2.244, 1000
40.4, 2.231, 468
47.3, 1.921, 108
47.8, 1.905, 142
57.7, 1.596, 79
58.5, 1.577, 136

=====

(3)
Structure and computed X-ray diffraction stick pattern of YBiIr (a GGA-PBE-relaxed structure; λ = 1.5418 Å (Cu Kα)).
Neutral-atom scattering factors, no anomalous dispersion.

Cell and atoms:
```
9
Lattice="7.6677 0.0000 0.0000 -3.8338 6.6404 0.0000 0.0000 0.0000 4.0209" Properties=species:S:1:pos:R:3 pbc="T T T"
Y -1.5267 2.6443 0.0000
Y 3.0533 0.0000 0.0000
Y 2.3072 3.9961 0.0000
Bi -2.8137 4.8734 2.0105
Bi 1.0202 1.7670 2.0105
Bi 5.6274 0.0000 2.0105
Ir 0.0000 0.0000 0.0000
Ir 0.0000 4.4269 2.0105
Ir 3.8338 2.2135 2.0105
```

The 10 most intense peaks (2θ = 5–70°), in order of rising 2θ:
2theta, d (Å), intensity
22.1, 4.021, 277
23.2, 3.834, 277
32.3, 2.775, 1000
35.0, 2.560, 977
35.8, 2.510, 469
40.8, 2.213, 690
42.5, 2.129, 752
45.1, 2.010, 334
62.4, 1.488, 399
65.5, 1.425, 478

=====

(4)
Structure and computed X-ray diffraction stick pattern of ZrBiIr2 (a GGA-PBE-relaxed structure; λ = 1.5418 Å (Cu Kα)).
Neutral-atom scattering factors, no anomalous dispersion.

Cell and atoms:
```
4
Lattice="0.0000 3.3466 3.3466 3.3466 0.0000 3.3466 3.3466 3.3466 0.0000" Properties=species:S:1:pos:R:3 pbc="T T T"
Zr 0.0000 0.0000 0.0000
Bi 5.0199 5.0199 5.0199
Ir 1.6733 1.6733 1.6733
Ir 3.3466 3.3466 3.3466
```

The 9 most intense peaks (2θ = 5–70°), in order of rising 2θ:
2theta, d (Å), intensity
23.0, 3.864, 47
26.6, 3.347, 34
38.0, 2.366, 1000
44.9, 2.018, 27
47.0, 1.932, 11
54.9, 1.673, 175
60.3, 1.536, 12
62.0, 1.497, 15
68.7, 1.366, 360

=====

(5)
Structure and computed X-ray diffraction stick pattern of K2Ni3Bi2 (a GGA-PBE-relaxed structure; λ = 1.5418 Å (Cu Kα)).
Neutral-atom scattering factors, no anomalous dispersion.

Cell and atoms:
```
7
Lattice="2.2179 1.2805 11.4065 -2.2179 1.2805 11.4065 0.0000 -2.5610 11.4065" Properties=species:S:1:pos:R:3 pbc="T T T"
K 0.0000 0.0000 0.0000
K 0.0000 0.0000 16.8974
Ni 0.0000 0.0000 13.7769
Ni 0.0000 0.0000 20.0603
Ni 0.0000 0.0000 30.9595
Bi 0.0000 0.0000 8.4474
Bi 0.0000 0.0000 25.4616
```

The 10 most intense peaks (2θ = 5–70°), in order of rising 2θ:
2theta, d (Å), intensity
15.5, 5.703, 1000
23.7, 3.748, 268
25.4, 3.504, 482
31.3, 2.856, 785
40.7, 2.218, 500
43.8, 2.067, 470
43.9, 2.062, 122
52.2, 1.751, 540
59.1, 1.563, 116
64.6, 1.443, 125

=====

(6)
Structure and computed X-ray diffraction stick pattern of KNiBiS3 (a GGA-PBE-relaxed structure; λ = 1.5418 Å (Cu Kα)).
Neutral-atom scattering factors, no anomalous dispersion.

Cell and atoms:
```
12
Lattice="2.0057 -6.9384 0.0000 2.0057 6.9384 0.0000 0.0000 0.0000 10.8830" Properties=species:S:1:pos:R:3 pbc="T T T"
K 2.0057 3.5346 8.1622
K 2.0057 -3.5346 2.7207
Ni 2.0057 6.5581 2.7207
Ni 2.0057 -6.5581 8.1622
Bi 2.0057 0.0000 0.0000
Bi 2.0057 0.0000 5.4415
S 2.0057 5.1871 0.8808
S 2.0057 5.1871 4.5607
S 2.0057 0.7642 2.7207
S 2.0057 -0.7642 8.1622
S 2.0057 -5.1871 6.3223
S 2.0057 -5.1871 10.0022
```

The 10 most intense peaks (2θ = 5–70°), in order of rising 2θ:
2theta, d (Å), intensity
12.8, 6.938, 1000
20.7, 4.282, 261
25.7, 3.469, 177
28.4, 3.145, 459
29.5, 3.031, 217
32.9, 2.721, 171
33.9, 2.647, 482
35.4, 2.533, 180
42.2, 2.141, 189
43.0, 2.105, 264